# 1
KAg3GeS4: computed powder diffractogram (CuKα), based on a GGA-PBE-relaxed structure.
No peak broadening, texture or thermal motion is included.

Crystal structure
```
data_KAg3GeS4
_cell_length_a 6.3711
_cell_length_b 7.4338
_cell_length_c 10.2841
_cell_angle_alpha 90.00
_cell_angle_beta 106.35
_cell_angle_gamma 90.00
_space_group_name_H-M_alt 'P 1'
_space_group_IT_number 1
_space_group_name_Hall 'P 1'
loop_
_atom_site_label
_atom_site_fract_x
_atom_site_fract_y
_atom_site_fract_z
_atom_site_occupancy
K1 0.1108 0.2500 0.3616 1
K2 0.8892 0.7500 0.6384 1
Ag1 0.3084 0.5472 0.0447 1
Ag2 0.3084 0.9528 0.0447 1
Ag3 0.4430 0.7500 0.3033 1
Ag4 0.5570 0.2500 0.6967 1
Ag5 0.6916 0.0472 0.9553 1
Ag6 0.6916 0.4528 0.9553 1
Ge1 0.1201 0.2500 0.7796 1
Ge2 0.8799 0.7500 0.2204 1
S1 0.0372 0.2500 0.9819 1
S2 0.1515 0.7500 0.4094 1
S3 0.3248 0.0023 0.7773 1
S4 0.3248 0.4977 0.7773 1
S5 0.6752 0.5023 0.2227 1
S6 0.6752 0.9977 0.2227 1
S7 0.8485 0.2500 0.5906 1
S8 0.9628 0.7500 0.0181 1
```

Peak list (10 most intense, 2θ from 10° to 90°, in order of rising 2θ)
2theta	d (Å)	Rel. int.
14.92	5.938	100
25.61	3.478	43
28.05	3.181	29
30.10	2.969	23
31.65	2.827	21
34.40	2.607	24
35.79	2.509	22
38.12	2.361	23
41.24	2.189	26
41.97	2.152	43

# 2
KAgGeTe2S: computed powder diffractogram (CuKα), based on a GGA-PBE-relaxed structure.
No peak broadening, texture or thermal motion is included.

Crystal structure
```
data_KAgGeTe2S
_cell_length_a 7.8729
_cell_length_b 7.8729
_cell_length_c 11.2995
_cell_angle_alpha 90.00
_cell_angle_beta 90.00
_cell_angle_gamma 151.72
_space_group_name_H-M_alt 'P 1'
_space_group_IT_number 1
_space_group_name_Hall 'P 1'
loop_
_atom_site_label
_atom_site_fract_x
_atom_site_fract_y
_atom_site_fract_z
_atom_site_occupancy
K1 0.2263 0.7737 0.7500 1
K2 0.7737 0.2263 0.2500 1
Ag1 0.0499 0.9501 0.2500 1
Ag2 0.9501 0.0499 0.7500 1
Ge1 0.5000 0.5000 0.0000 1
Ge2 0.5000 0.5000 0.5000 1
Te1 0.1373 0.8627 0.0330 1
Te2 0.1373 0.8627 0.4670 1
Te3 0.8627 0.1373 0.5330 1
Te4 0.8627 0.1373 0.9670 1
S1 0.4468 0.5532 0.2500 1
S2 0.5532 0.4468 0.7500 1
```

Peak list (10 most intense, 2θ from 10° to 90°, in order of rising 2θ)
2theta	d (Å)	Rel. int.
11.59	7.634	46
14.00	6.326	30
23.85	3.730	36
28.21	3.163	41
29.10	3.069	52
30.18	2.962	49
31.67	2.825	59
33.22	2.697	100
44.89	2.019	29
50.13	1.820	26

# 3
KAg3GeSe4: computed powder diffractogram (CuKα), based on a GGA-PBE-relaxed structure.
No peak broadening, texture or thermal motion is included.

Crystal structure
```
data_KAg3GeSe4
_cell_length_a 6.6279
_cell_length_b 6.6279
_cell_length_c 6.6279
_cell_angle_alpha 90.00
_cell_angle_beta 90.00
_cell_angle_gamma 90.00
_space_group_name_H-M_alt 'P 1'
_space_group_IT_number 1
_space_group_name_Hall 'P 1'
loop_
_atom_site_label
_atom_site_fract_x
_atom_site_fract_y
_atom_site_fract_z
_atom_site_occupancy
K1 0.0000 0.0000 0.0000 1
Ag1 0.0000 0.5000 0.5000 1
Ag2 0.5000 0.0000 0.5000 1
Ag3 0.5000 0.5000 0.0000 1
Ge1 0.5000 0.5000 0.5000 1
Se1 0.2909 0.2909 0.2909 1
Se2 0.2909 0.7091 0.7091 1
Se3 0.7091 0.2909 0.7091 1
Se4 0.7091 0.7091 0.2909 1
```

Peak list (10 most intense, 2θ from 10° to 90°, in order of rising 2θ)
2theta	d (Å)	Rel. int.
13.36	6.628	72
23.25	3.827	90
33.11	2.706	14
38.41	2.343	100
40.85	2.209	18
45.38	1.998	37
49.59	1.838	23
55.45	1.657	13
69.48	1.353	23
83.85	1.154	10

# 4
KAg3GeTe4: computed powder diffractogram (CuKα), based on a GGA-PBE-relaxed structure.
No peak broadening, texture or thermal motion is included.

Crystal structure
```
data_KAg3GeTe4
_cell_length_a 6.9963
_cell_length_b 6.9963
_cell_length_c 6.9963
_cell_angle_alpha 90.00
_cell_angle_beta 90.00
_cell_angle_gamma 90.00
_space_group_name_H-M_alt 'P 1'
_space_group_IT_number 1
_space_group_name_Hall 'P 1'
loop_
_atom_site_label
_atom_site_fract_x
_atom_site_fract_y
_atom_site_fract_z
_atom_site_occupancy
K1 0.0000 0.0000 0.0000 1
Ag1 0.0000 0.5000 0.5000 1
Ag2 0.5000 0.0000 0.5000 1
Ag3 0.5000 0.5000 0.0000 1
Ge1 0.5000 0.5000 0.5000 1
Te1 0.2850 0.2850 0.2850 1
Te2 0.2850 0.7150 0.7150 1
Te3 0.7150 0.2850 0.7150 1
Te4 0.7150 0.7150 0.2850 1
```

Peak list (10 most intense, 2θ from 10° to 90°, in order of rising 2θ)
2theta	d (Å)	Rel. int.
12.65	6.996	56
22.01	4.039	100
31.32	2.856	16
36.32	2.474	100
38.61	2.332	16
42.87	2.109	40
46.82	1.940	23
52.30	1.749	14
55.74	1.649	12
65.34	1.428	23

# 5
LaMgAgGe2: computed powder diffractogram (CuKα), based on a GGA-PBE-relaxed structure.
No peak broadening, texture or thermal motion is included.

Crystal structure
```
data_LaMgAgGe2
_cell_length_a 6.5590
_cell_length_b 6.5590
_cell_length_c 6.5590
_cell_angle_alpha 141.47
_cell_angle_beta 141.47
_cell_angle_gamma 55.63
_space_group_name_H-M_alt 'P 1'
_space_group_IT_number 1
_space_group_name_Hall 'P 1'
loop_
_atom_site_label
_atom_site_fract_x
_atom_site_fract_y
_atom_site_fract_z
_atom_site_occupancy
La1 0.0000 0.0000 0.0000 1
Mg1 0.7500 0.2500 0.5000 1
Ag1 0.2500 0.7500 0.5000 1
Ge1 0.3916 0.3916 0.0000 1
Ge2 0.6084 0.6084 0.0000 1
```

Peak list (10 most intense, 2θ from 10° to 90°, in order of rising 2θ)
2theta	d (Å)	Rel. int.
21.92	4.055	24
29.18	3.060	16
31.01	2.884	63
33.09	2.707	100
41.74	2.164	51
44.29	2.045	41
52.90	1.731	28
60.51	1.530	16
62.49	1.486	29
70.72	1.332	21

# 6
La2Ag2GePb: computed powder diffractogram (CuKα), based on a GGA-PBE-relaxed structure.
No peak broadening, texture or thermal motion is included.

Crystal structure
```
data_La2Ag2GePb
_cell_length_a 4.7922
_cell_length_b 4.7922
_cell_length_c 7.8729
_cell_angle_alpha 90.00
_cell_angle_beta 90.00
_cell_angle_gamma 120.00
_space_group_name_H-M_alt 'P 1'
_space_group_IT_number 1
_space_group_name_Hall 'P 1'
loop_
_atom_site_label
_atom_site_fract_x
_atom_site_fract_y
_atom_site_fract_z
_atom_site_occupancy
La1 0.0000 0.0000 0.0000 1
La2 0.0000 0.0000 0.4806 1
Ag1 0.3333 0.6667 0.6912 1
Ag2 0.6667 0.3333 0.2135 1
Ge1 0.3333 0.6667 0.2791 1
Pb1 0.6667 0.3333 0.7748 1
```

Peak list (10 most intense, 2θ from 10° to 90°, in order of rising 2θ)
2theta	d (Å)	Rel. int.
24.24	3.671	13
31.32	2.856	100
37.54	2.396	70
40.68	2.218	15
49.67	1.836	27
60.91	1.521	18
63.16	1.472	8
63.88	1.457	26
67.73	1.383	12
88.50	1.105	11

# 7
LiAgGeTe2S: computed powder diffractogram (CuKα), based on a GGA-PBE-relaxed structure.
No peak broadening, texture or thermal motion is included.

Crystal structure
```
data_LiAgGeTe2S
_cell_length_a 6.8073
_cell_length_b 6.8073
_cell_length_c 10.9822
_cell_angle_alpha 90.00
_cell_angle_beta 90.00
_cell_angle_gamma 144.45
_space_group_name_H-M_alt 'P 1'
_space_group_IT_number 1
_space_group_name_Hall 'P 1'
loop_
_atom_site_label
_atom_site_fract_x
_atom_site_fract_y
_atom_site_fract_z
_atom_site_occupancy
Li1 0.1240 0.8760 0.7500 1
Li2 0.8760 0.1240 0.2500 1
Ag1 0.1005 0.8995 0.2500 1
Ag2 0.8995 0.1005 0.7500 1
Ge1 0.5000 0.5000 0.0000 1
Ge2 0.5000 0.5000 0.5000 1
Te1 0.1577 0.8423 0.0092 1
Te2 0.1577 0.8423 0.4908 1
Te3 0.8423 0.1577 0.5092 1
Te4 0.8423 0.1577 0.9908 1
S1 0.4734 0.5266 0.2500 1
S2 0.5266 0.4734 0.7500 1
```

Peak list (10 most intense, 2θ from 10° to 90°, in order of rising 2θ)
2theta	d (Å)	Rel. int.
15.88	5.582	32
16.14	5.491	41
29.83	2.996	100
32.61	2.746	57
34.09	2.630	58
43.54	2.078	32
44.78	2.024	62
45.09	2.011	30
55.45	1.657	24
64.48	1.445	20

# 8
LuAgGeTe3: computed powder diffractogram (CuKα), based on a GGA-PBE-relaxed structure.
No peak broadening, texture or thermal motion is included.

Crystal structure
```
data_LuAgGeTe3
_cell_length_a 9.8831
_cell_length_b 9.8831
_cell_length_c 8.7139
_cell_angle_alpha 101.81
_cell_angle_beta 101.81
_cell_angle_gamma 24.34
_space_group_name_H-M_alt 'P 1'
_space_group_IT_number 1
_space_group_name_Hall 'P 1'
loop_
_atom_site_label
_atom_site_fract_x
_atom_site_fract_y
_atom_site_fract_z
_atom_site_occupancy
Lu1 0.1619 0.1619 0.0877 1
Lu2 0.8381 0.8381 0.9123 1
Ag1 0.4554 0.4554 0.7830 1
Ag2 0.5446 0.5446 0.2170 1
Ge1 0.1245 0.1245 0.5659 1
Ge2 0.8755 0.8755 0.4341 1
Te1 0.0000 0.0000 0.0000 1
Te2 0.3122 0.3122 0.6489 1
Te3 0.3251 0.3251 0.1607 1
Te4 0.5000 0.5000 0.5000 1
Te5 0.6749 0.6749 0.8393 1
Te6 0.6878 0.6878 0.3511 1
```

Peak list (10 most intense, 2θ from 10° to 90°, in order of rising 2θ)
2theta	d (Å)	Rel. int.
10.38	8.521	14
28.08	3.178	17
28.34	3.149	39
29.67	3.011	100
35.27	2.545	38
41.25	2.189	22
41.46	2.178	24
43.43	2.083	30
52.68	1.738	14
61.60	1.506	15